The following is a computed XRD peak list of Tb5TlCo2. It was derived from DFT lattice parameters and positions (PBE), using Cu Ka.

The 10 most intense peaks (2θ from 15° to 90°), most intense first:
| d [Å] | two_theta | Rel. int. |
| --- | --- | --- |
| 2.731 | 32.80 | 100 |
| 2.414 | 37.24 | 95 |
| 2.544 | 35.28 | 75 |
| 2.884 | 31.00 | 61 |
| 3.312 | 26.92 | 43 |
| 1.592 | 57.94 | 38 |
| 1.707 | 53.71 | 34 |
| 1.393 | 67.19 | 33 |
| 2.132 | 42.39 | 33 |
| 2.699 | 33.19 | 27 |

Structure:
```
16
Lattice="-3.817 3.817 6.825 3.817 -3.817 6.825 3.817 3.817 -6.825" Properties=species:S:1:pos:R:3 pbc="T T T"
Tb 0.000 0.000 0.000
Tb 5.052 1.234 -1.771
Tb 1.234 2.583 -1.771
Tb 5.052 1.234 1.771
Tb 1.234 2.583 1.771
Tb 0.000 0.000 6.825
Tb 2.583 1.234 5.053
Tb -1.234 2.583 5.053
Tb 2.583 1.234 8.596
Tb -1.234 2.583 8.596
Tl 0.000 0.000 3.412
Tl 0.000 0.000 10.237
Co 2.796 1.021 0.000
Co 2.796 -1.021 6.825
Co 1.021 4.838 0.000
Co 1.021 2.796 6.825
```

The following is a computed XRD peak list of HoSc4Bi5. It was derived from DFT lattice parameters and positions (PBE), using Cu Ka.

The 10 most intense peaks (2θ from 15° to 90°), most intense first:
| d [Å] | two_theta | Rel. int. |
| --- | --- | --- |
| 3.046 | 29.32 | 100 |
| 2.154 | 41.95 | 76 |
| 3.517 | 25.32 | 47 |
| 1.759 | 52.00 | 27 |
| 1.361 | 68.99 | 23 |
| 1.243 | 76.67 | 17 |
| 1.835 | 49.67 | 16 |
| 1.364 | 68.84 | 12 |
| 1.398 | 66.96 | 10 |
| 1.245 | 76.55 | 9 |

Structure:
```
10
Lattice="-2.152 3.051 10.760 2.152 -3.051 10.760 2.152 3.051 -10.760" Properties=species:S:1:pos:R:3 pbc="T T T"
Ho 0.000 0.000 0.000
Sc 0.000 0.000 4.362
Sc 0.000 0.000 8.607
Sc 0.000 0.000 12.912
Sc 0.000 0.000 17.157
Bi 2.152 0.000 2.265
Bi 2.152 0.000 6.478
Bi 0.000 3.051 0.000
Bi 0.000 3.051 4.282
Bi 0.000 3.051 8.495
```

The following is a computed XRD peak list of Sm4Ag3Hg. It was derived from DFT lattice parameters and positions (PBE), using Cu Ka.

The 10 most intense peaks (2θ from 15° to 90°), most intense first:
| d [Å] | two_theta | Rel. int. |
| --- | --- | --- |
| 2.898 | 30.86 | 100 |
| 2.360 | 38.14 | 63 |
| 2.452 | 36.64 | 38 |
| 2.480 | 36.22 | 37 |
| 2.692 | 33.29 | 27 |
| 2.875 | 31.11 | 25 |
| 1.284 | 73.82 | 18 |
| 1.891 | 48.13 | 17 |
| 1.813 | 50.33 | 17 |
| 1.497 | 61.98 | 16 |

Structure:
```
8
Lattice="3.781 0.000 0.000 0.000 4.905 0.000 0.000 0.000 11.498" Properties=species:S:1:pos:R:3 pbc="T T T"
Sm 0.000 0.000 0.000
Sm 0.000 2.452 3.244
Sm 1.891 0.000 5.635
Sm 1.891 2.452 9.064
Ag 0.000 2.452 6.422
Ag 1.891 0.000 2.497
Ag 1.891 2.452 0.738
Hg 0.000 0.000 8.287
```

The following is a computed XRD peak list of ZnIn4Ga3. It was derived from DFT lattice parameters and positions (PBE), using Cu Ka.

The 10 most intense peaks (2θ from 15° to 90°), most intense first:
| d [Å] | two_theta | Rel. int. |
| --- | --- | --- |
| 2.850 | 31.38 | 100 |
| 2.529 | 35.49 | 99 |
| 1.601 | 57.55 | 57 |
| 2.582 | 34.75 | 50 |
| 2.042 | 44.36 | 50 |
| 1.990 | 45.59 | 45 |
| 2.433 | 36.95 | 45 |
| 2.735 | 32.74 | 42 |
| 2.792 | 32.05 | 34 |
| 2.320 | 38.81 | 31 |

Structure:
```
16
Lattice="22.699 0.000 0.000 0.000 4.084 0.000 -0.459 0.000 3.961" Properties=species:S:1:pos:R:3 pbc="T T T"
Zn 0.000 0.000 0.000
Zn 11.350 2.042 0.000
In 2.887 2.042 0.467
In 4.591 0.000 2.856
In 6.299 2.042 1.105
In 8.003 0.000 3.494
In 14.237 0.000 0.467
In 15.941 2.042 2.856
In 17.649 0.000 1.105
In 19.353 2.042 3.494
Ga -0.230 2.042 1.980
Ga 1.668 0.000 2.294
Ga 9.222 2.042 1.666
Ga 11.120 0.000 1.980
Ga 13.018 2.042 2.294
Ga 20.572 0.000 1.666
```

Question: What is the formula in the third record?
Answer: Sm4Ag3Hg